1.
Simulated X-ray powder pattern
Compound: Sm3Y2HoSe6
Radiation: Cu Kα X-rays
Structure: a structure optimized by DFT (PBE)
Kinematic intensities with the Lorentz-polarization factor, no thermal factor.

Top 12 peaks for 15 to 90 degrees two-theta, most intense first:
2θ/deg	I_rel	index
30.66	100	1 3 1
43.70	25	1 3 -3
44.15	24	3 3 -1
54.55	13	2 6 -2
43.94	12	0 6 0
43.83	12	2 0 2
63.81	8	2 6 2
54.07	7	0 0 4
54.85	6	4 0 0
26.49	6	1 3 -1
72.36	6	3 3 3
72.13	6	0 6 4

Crystal structure
Unit cell a=7.0948 b=12.3634 c=7.1892 alpha=90.00 beta=109.32 gamma=90.00
Space group C2/m (No. 12)
Unique sites:
Sm  0.0000  0.0000  0.0000 (multiplicity 2)
Sm  0.0000  0.3316  0.0000 (multiplicity 4)
Y  0.0000  0.1669  0.5000 (multiplicity 4)
Ho  0.0000  0.5000  0.5000 (multiplicity 2)
Se  0.2457  0.3345  0.7406 (multiplicity 8)
Se  0.2494  0.0000  0.7419 (multiplicity 4)

=====

2.
Simulated X-ray powder pattern
Compound: Ho4SnSe4
Radiation: Cu Kα X-rays
Structure: a structure optimized by DFT (PBE)
Kinematic intensities with the Lorentz-polarization factor, no thermal factor.

Top 12 peaks for 15 to 90 degrees two-theta, most intense first:
2θ/deg	I_rel	index
30.34	100	3 1 -2
43.52	73	5 1 0
30.45	49	2 0 2
42.45	19	6 0 -4
54.80	19	2 2 2
44.41	18	0 2 0
71.68	17	8 2 -2
81.15	12	5 3 0
63.11	12	6 2 -4
78.41	12	11 1 -4
53.16	11	8 0 -2
53.11	11	4 0 -6

Crystal structure
Unit cell a=14.0585 b=4.0800 c=10.3486 alpha=90.00 beta=120.75 gamma=90.00
Space group C2/m (No. 12)
Unique sites:
Ho  0.0977  0.0000  0.3856 (multiplicity 4)
Ho  0.2072  0.5000  0.8083 (multiplicity 4)
Sn  0.0000  0.5000  0.5000 (multiplicity 2)
Se  0.1094  0.0000  0.8958 (multiplicity 4)
Se  0.2026  0.5000  0.3045 (multiplicity 4)

=====

3.
Simulated X-ray powder pattern
Compound: TbHoSnSe
Radiation: Cu Kα X-rays
Structure: a structure optimized by DFT (PBE)
Kinematic intensities with the Lorentz-polarization factor, no thermal factor.

Top 12 peaks for 15 to 90 degrees two-theta, most intense first:
2θ/deg	I_rel	index
29.70	100	1 1 0
42.51	76	2 0 0
52.71	27	2 0 2
70.00	23	3 1 0
77.83	18	3 1 2
69.83	12	1 1 4
25.65	10	1 0 1
77.69	9	2 0 4
61.75	8	2 2 0
61.54	4	0 0 4
50.35	3	2 1 1
67.92	2	3 0 1

Crystal structure
Unit cell a=4.2492 b=4.2492 c=6.0272 alpha=90.00 beta=90.00 gamma=90.00
Space group P4/mmm (No. 123)
Unique sites:
Tb  0.0000  0.0000  0.0000 (multiplicity 1)
Ho  0.5000  0.5000  0.5000 (multiplicity 1)
Sn  0.0000  0.0000  0.5000 (multiplicity 1)
Se  0.5000  0.5000  0.0000 (multiplicity 1)

=====

4.
Simulated X-ray powder pattern
Compound: SrHo5Se6
Radiation: Cu Kα X-rays
Structure: a structure optimized by DFT (PBE)
Kinematic intensities with the Lorentz-polarization factor, no thermal factor.

Top 12 peaks for 15 to 90 degrees two-theta, most intense first:
2θ/deg	I_rel	index
30.78	100	2 0 -2
43.96	37	1 3 -3
44.22	36	3 3 -1
54.84	19	4 0 0
72.61	17	3 3 -5
72.99	16	5 3 -3
26.63	13	2 0 0
81.19	12	4 6 -4
64.12	12	4 0 -4
54.40	7	0 0 4
80.63	6	2 0 -6
81.37	6	6 0 -2

Crystal structure
Unit cell a=7.0923 b=12.2948 c=7.1502 alpha=90.00 beta=109.34 gamma=90.00
Space group C2/m (No. 12)
Unique sites:
Sr  0.0000  0.0000  0.0000 (multiplicity 2)
Ho  0.0000  0.1601  0.5000 (multiplicity 4)
Ho  0.0000  0.3330  0.0000 (multiplicity 4)
Ho  0.0000  0.5000  0.5000 (multiplicity 2)
Se  0.2397  0.5000  0.2506 (multiplicity 4)
Se  0.2419  0.3279  0.7412 (multiplicity 8)

=====

5.
Simulated X-ray powder pattern
Compound: SrTb4HoSe8
Radiation: Cu Kα X-rays
Structure: a structure optimized by DFT (PBE)
Kinematic intensities with the Lorentz-polarization factor, no thermal factor.

Top 12 peaks for 15 to 90 degrees two-theta, most intense first:
2θ/deg	I_rel	index
42.29	100	2 0 8
24.42	88	0 1 5
29.56	62	0 2 4
38.70	53	1 2 5
77.29	22	4 2 8
20.78	20	1 1 0
58.63	16	4 1 3
61.35	15	0 4 8
52.41	11	4 0 4
49.41	10	3 1 5
74.91	10	1 5 5
66.99	9	5 0 5

Crystal structure
Unit cell a=8.5559 b=8.5559 c=20.9035 alpha=90.00 beta=90.00 gamma=120.00
Space group R3m (No. 160, hexagonal axes)
Unique sites:
Sr  0.0000  0.0000  0.0000 (multiplicity 3)
Tb  0.0000  0.0000  0.2495 (multiplicity 3)
Tb  0.1691  0.3382  0.4575 (multiplicity 9)
Ho  0.0000  0.0000  0.6267 (multiplicity 3)
Se  0.0000  0.0000  0.3822 (multiplicity 3)
Se  0.0000  0.0000  0.8615 (multiplicity 3)
Se  0.0368  0.5184  0.3785 (multiplicity 9)
Se  0.1776  0.3553  0.2063 (multiplicity 9)

=====

6.
Simulated X-ray powder pattern
Compound: HoTa4Se8
Radiation: Cu Kα X-rays
Structure: a structure optimized by DFT (PBE)
Kinematic intensities with the Lorentz-polarization factor, no thermal factor.

Top 12 peaks for 15 to 90 degrees two-theta, most intense first:
2θ/deg	I_rel	index
33.95	100	0 2 4
45.87	43	2 0 8
51.55	30	2 2 0
29.41	18	0 2 1
77.17	18	2 2 12
63.17	16	4 0 4
85.81	15	2 4 4
71.46	12	0 4 8
36.42	10	2 0 5
42.45	10	0 2 7
53.36	9	2 2 3
53.12	9	0 0 12

Crystal structure
Unit cell a=7.0915 b=7.0915 c=20.6896 alpha=90.00 beta=90.00 gamma=120.00
Space group R-3m (No. 166, hexagonal axes)
Unique sites:
Ho  0.0000  0.0000  0.0000 (multiplicity 3)
Ta  0.0000  0.0000  0.5000 (multiplicity 3)
Ta  0.0000  0.5000  0.5000 (multiplicity 9)
Se  0.0000  0.0000  0.2458 (multiplicity 6)
Se  0.0107  0.5054  0.2470 (multiplicity 18)

=====

7.
Simulated X-ray powder pattern
Compound: Tb2Ho4Se9
Radiation: Cu Kα X-rays
Structure: a structure optimized by DFT (PBE)
Kinematic intensities with the Lorentz-polarization factor, no thermal factor.

Top 12 peaks for 15 to 90 degrees two-theta, most intense first:
2θ/deg	I_rel	index
37.34	100	1 2 6
43.59	62	3 3 0
23.20	56	1 1 -4
28.38	56	2 1 3
16.90	42	1 1 2
24.76	40	2 1 0
34.19	36	0 2 -4
42.67	33	2 -1 4
58.72	26	2 4 6
75.91	22	4 5 6
49.06	18	1 0 10
61.87	14	2 3 -10

Crystal structure
Unit cell a=7.1900 b=7.1920 c=19.4550 alpha=90.00 beta=89.98 gamma=60.03
Space group P-1 (No. 2)
Unique sites:
Tb  0.0002  0.0011  0.1514 (multiplicity 2)
Tb  0.0011  0.9985  0.3483 (multiplicity 2)
Ho  0.3324  0.3336  0.8187 (multiplicity 2)
Ho  0.3330  0.3335  0.0141 (multiplicity 2)
Ho  0.3343  0.3331  0.3189 (multiplicity 2)
Ho  0.3339  0.3332  0.5137 (multiplicity 2)
Se  0.0011  0.3066  0.2501 (multiplicity 2)
Se  0.0275  0.6353  0.4168 (multiplicity 2)
Se  0.0277  0.3356  0.9168 (multiplicity 2)
Se  0.3064  0.9998  0.7501 (multiplicity 2)
Se  0.3070  0.6927  0.2497 (multiplicity 2)
Se  0.3371  0.6350  0.9166 (multiplicity 2)
Se  0.3377  0.0265  0.4165 (multiplicity 2)
Se  0.3631  0.6635  0.5835 (multiplicity 2)
Se  0.3652  0.9721  0.0834 (multiplicity 2)

=====

8.
Simulated X-ray powder pattern
Compound: Tb3HoSe4
Radiation: Cu Kα X-rays
Structure: a structure optimized by DFT (PBE)
Kinematic intensities with the Lorentz-polarization factor, no thermal factor.

Top 12 peaks for 15 to 90 degrees two-theta, most intense first:
2θ/deg	I_rel	index
31.01	100	1 2 1
44.32	75	3 2 -1
30.87	51	2 0 -2
54.72	20	4 0 0
55.44	19	2 4 -2
44.01	19	2 0 2
44.85	18	0 4 0
73.12	17	5 2 -3
73.35	17	4 4 0
81.15	16	5 2 1
26.57	16	2 0 0
26.90	15	1 2 -1

Crystal structure
Unit cell a=7.1103 b=8.0830 c=7.1025 alpha=90.00 beta=109.22 gamma=90.00
Space group P2/c (No. 13)
Unique sites:
Tb  0.0000  0.1243  0.2500 (multiplicity 2)
Tb  0.0000  0.3743  0.7500 (multiplicity 2)
Tb  0.5000  0.1245  0.7500 (multiplicity 2)
Ho  0.5000  0.3743  0.2500 (multiplicity 2)
Se  0.2513  0.1264  0.0015 (multiplicity 4)
Se  0.2526  0.3765  0.4998 (multiplicity 4)

=====

9.
Simulated X-ray powder pattern
Compound: Tb2Ho3Se6
Radiation: Cu Kα X-rays
Structure: a structure optimized by DFT (PBE)
Kinematic intensities with the Lorentz-polarization factor, no thermal factor.

Top 12 peaks for 15 to 90 degrees two-theta, most intense first:
2θ/deg	I_rel	index
29.91	100	0 1 11
44.04	51	1 1 0
32.61	41	0 1 14
45.37	38	1 0 25
54.15	19	2 0 11
72.76	19	1 1 36
72.28	16	1 2 11
81.94	14	2 1 25
65.08	13	0 2 25
25.70	10	1 0 4
41.54	9	1 0 22
27.09	9	1 0 7

Crystal structure
Unit cell a=4.1120 b=4.1120 c=60.3919 alpha=90.00 beta=90.00 gamma=120.00
Space group R-3m (No. 166, hexagonal axes)
Unique sites:
Tb  0.0000  0.0000  0.0544 (multiplicity 6)
Ho  0.0000  0.0000  0.2196 (multiplicity 6)
Ho  0.0000  0.0000  0.5000 (multiplicity 3)
Se  0.0000  0.0000  0.1399 (multiplicity 6)
Se  0.0000  0.0000  0.3024 (multiplicity 6)
Se  0.0000  0.0000  0.4190 (multiplicity 6)

=====

10.
Simulated X-ray powder pattern
Compound: Tb2Ho3Se6
Radiation: Cu Kα X-rays
Structure: a structure optimized by DFT (PBE)
Kinematic intensities with the Lorentz-polarization factor, no thermal factor.

Top 12 peaks for 15 to 90 degrees two-theta, most intense first:
2θ/deg	I_rel	index
31.20	100	1 3 1
44.65	37	2 0 2
44.77	37	0 6 0
55.57	19	0 0 4
73.84	17	3 3 3
73.98	11	0 6 4
82.43	10	1 3 5
26.96	9	1 3 -1
82.54	8	3 9 -1
65.12	8	2 6 2
55.37	7	4 0 0
82.19	6	5 3 1

Crystal structure
Unit cell a=7.0407 b=12.1363 c=7.0190 alpha=90.00 beta=109.48 gamma=90.00
Space group C2/m (No. 12)
Unique sites:
Tb  0.0000  0.1649  0.0000 (multiplicity 4)
Ho  0.0000  0.0000  0.5000 (multiplicity 2)
Ho  0.0000  0.3344  0.5000 (multiplicity 4)
Se  0.2440  0.5000  0.7527 (multiplicity 4)
Se  0.2473  0.3359  0.2503 (multiplicity 8)

=====

11.
Simulated X-ray powder pattern
Compound: Tb2HoSe4
Radiation: Cu Kα X-rays
Structure: a structure optimized by DFT (PBE)
Kinematic intensities with the Lorentz-polarization factor, no thermal factor.

Top 12 peaks for 15 to 90 degrees two-theta, most intense first:
2θ/deg	I_rel	index
36.53	100	3 1 1
43.76	93	3 1 -3
37.07	92	5 1 -1
28.18	85	1 1 1
24.97	68	1 1 -1
28.52	55	4 0 -2
37.20	49	6 0 -2
44.10	49	0 2 0
36.13	41	2 0 2
24.79	39	2 0 -2
59.03	39	8 0 -4
29.54	38	3 1 0

Crystal structure
Unit cell a=15.0383 b=4.1072 c=7.1862 alpha=90.00 beta=116.91 gamma=90.00
Space group C2/m (No. 12)
Unique sites:
Tb  0.2329  0.0000  0.2229 (multiplicity 4)
Ho  0.0000  0.5000  0.5000 (multiplicity 2)
Se  0.1216  0.5000  0.9399 (multiplicity 4)
Se  0.1339  0.0000  0.4902 (multiplicity 4)

=====

12.
Simulated X-ray powder pattern
Compound: Tb3HoSe4
Radiation: Cu Kα X-rays
Structure: a structure optimized by DFT (PBE)
Kinematic intensities with the Lorentz-polarization factor, no thermal factor.

Top 10 peaks for 15 to 90 degrees two-theta, most intense first:
2θ/deg	I_rel	index
30.95	100	2 0 0
44.34	74	2 2 0
73.25	33	4 2 0
55.05	26	2 2 2
81.62	25	4 2 2
26.72	21	1 1 1
64.50	12	4 0 0
52.52	10	3 1 1
71.11	4	3 3 1
87.76	3	5 1 1

Crystal structure
Unit cell a=5.7789 b=5.7789 c=5.7789 alpha=90.00 beta=90.00 gamma=90.00
Space group Pm-3m (No. 221)
Unique sites:
Tb  0.0000  0.0000  0.5000 (multiplicity 3)
Ho  0.5000  0.5000  0.5000 (multiplicity 1)
Se  0.0000  0.0000  0.0000 (multiplicity 1)
Se  0.0000  0.5000  0.5000 (multiplicity 3)

=====

13.
Simulated X-ray powder pattern
Compound: TbHoTeSe2
Radiation: Cu Kα X-rays
Structure: a structure optimized by DFT (PBE)
Kinematic intensities with the Lorentz-polarization factor, no thermal factor.

Top 12 peaks for 15 to 90 degrees two-theta, most intense first:
2θ/deg	I_rel	index
27.10	100	1 0 3
38.90	43	2 0 0
48.06	42	2 1 3
37.58	29	1 1 4
47.81	27	1 1 6
27.24	24	1 1 0
30.12	24	1 1 2
56.19	15	2 2 0
63.50	14	3 0 3
37.48	13	1 0 5
76.82	13	3 1 6
66.95	13	2 0 8

Crystal structure
Unit cell a=4.6299 b=4.6299 c=14.0277 alpha=90.00 beta=90.00 gamma=90.00
Space group I4mm (No. 107)
Unique sites:
Tb  0.0000  0.0000  0.0000 (multiplicity 2)
Ho  0.0000  0.0000  0.7205 (multiplicity 2)
Te  0.0000  0.0000  0.3620 (multiplicity 2)
Se  0.0000  0.5000  0.1122 (multiplicity 4)